Entry 1:
Tl3W: simulated X-ray diffraction stick pattern (Cu Kα), based on a GGA-PBE-relaxed structure.
Lines closer than 0.1° are merged.

Peak list (10 most intense, 10° ≤ 2θ ≤ 90°, sorted by position)
24.4 deg, intensity 7.0
32.7 deg, intensity 20.6
34.0 deg, intensity 100.0
42.5 deg, intensity 30.0
51.6 deg, intensity 7.7
54.6 deg, intensity 19.7
59.2 deg, intensity 9.1
61.6 deg, intensity 10.2
71.5 deg, intensity 8.9
72.3 deg, intensity 23.2

Structure:
Cell: 3.010 3.010 10.956 Å, 90.00 90.00 90.00°
Positions (direct):
Tl  0.000  0.000  0.000
Tl  0.500  0.500  0.284
Tl  0.500  0.500  0.716
W  0.000  0.000  0.500

***

Entry 2:
ZrTlW: simulated X-ray diffraction stick pattern (Cu Kα), based on a GGA-PBE-relaxed structure.
Lines closer than 0.1° are merged.

Peak list (10 most intense, 10° ≤ 2θ ≤ 90°, sorted by position)
12.6 deg, intensity 14.1
30.9 deg, intensity 6.0
35.9 deg, intensity 100.0
38.3 deg, intensity 20.5
43.3 deg, intensity 30.0
59.2 deg, intensity 23.2
62.9 deg, intensity 10.0
67.8 deg, intensity 14.9
74.6 deg, intensity 24.0
76.2 deg, intensity 11.1

Structure:
Cell: 7.346 7.346 7.346 Å, 156.81 156.81 33.03°
Positions (direct):
Zr  0.000  0.000  0.000
Tl  0.679  0.679  0.000
W  0.342  0.342  0.000

***

Entry 3:
YTl2: simulated X-ray diffraction stick pattern (Cu Kα), based on a GGA-PBE-relaxed structure.
Lines closer than 0.1° are merged.

Peak list (10 most intense, 10° ≤ 2θ ≤ 90°, sorted by position)
20.7 deg, intensity 12.5
30.2 deg, intensity 100.0
33.7 deg, intensity 75.2
37.0 deg, intensity 58.7
37.5 deg, intensity 30.0
48.5 deg, intensity 13.7
53.6 deg, intensity 41.4
60.4 deg, intensity 28.5
62.9 deg, intensity 13.5
66.5 deg, intensity 22.3

Structure:
Cell: 5.679 5.679 5.679 Å, 141.41 130.00 64.88°
Positions (direct):
Y  0.000  0.000  0.000
Tl  0.335  0.335  0.000
Tl  0.665  0.665  0.000

***

Entry 4:
Y13Tl2: simulated X-ray diffraction stick pattern (Cu Kα), based on a GGA-PBE-relaxed structure.
Lines closer than 0.1° are merged.

Peak list (10 most intense, 10° ≤ 2θ ≤ 90°, sorted by position)
13.3 deg, intensity 12.1
31.0 deg, intensity 41.0
31.6 deg, intensity 42.9
31.8 deg, intensity 100.0
32.7 deg, intensity 84.2
43.4 deg, intensity 16.8
46.5 deg, intensity 15.7
47.3 deg, intensity 12.5
57.8 deg, intensity 21.6
66.4 deg, intensity 10.4

Structure:
Cell: 6.771 8.613 8.952 Å, 66.57 78.88 82.67°
Positions (direct):
Y  0.000  0.000  0.000
Y  0.119  0.481  0.736
Y  0.198  0.229  0.151
Y  0.256  0.942  0.582
Y  0.307  0.655  0.972
Y  0.371  0.410  0.389
Y  0.492  0.146  0.795
Y  0.508  0.854  0.205
Y  0.629  0.590  0.611
Y  0.693  0.345  0.028
Y  0.744  0.058  0.418
Y  0.802  0.771  0.849
Y  0.881  0.519  0.264
Tl  0.060  0.771  0.379
Tl  0.940  0.229  0.621

***

Entry 5:
YTl2: simulated X-ray diffraction stick pattern (Cu Kα), based on a GGA-PBE-relaxed structure.
Lines closer than 0.1° are merged.

Peak list (10 most intense, 10° ≤ 2θ ≤ 90°, sorted by position)
12.2 deg, intensity 12.3
27.6 deg, intensity 27.2
33.3 deg, intensity 100.0
37.1 deg, intensity 16.9
46.9 deg, intensity 12.9
48.7 deg, intensity 15.5
48.9 deg, intensity 7.7
60.4 deg, intensity 12.4
62.8 deg, intensity 14.5
64.5 deg, intensity 15.0

Structure:
Cell: 3.737 3.737 14.540 Å, 90.00 90.00 120.21°
Positions (direct):
Y  0.165  0.835  0.750
Y  0.835  0.165  0.250
Tl  0.166  0.834  0.082
Tl  0.166  0.834  0.418
Tl  0.834  0.166  0.582
Tl  0.834  0.166  0.918

***

Entry 6:
YTl5: simulated X-ray diffraction stick pattern (Cu Kα), based on a GGA-PBE-relaxed structure.
Lines closer than 0.1° are merged.

Peak list (10 most intense, 10° ≤ 2θ ≤ 90°, sorted by position)
32.0 deg, intensity 100.0
35.7 deg, intensity 18.6
36.9 deg, intensity 17.0
38.5 deg, intensity 15.2
52.3 deg, intensity 12.7
53.5 deg, intensity 11.9
61.9 deg, intensity 15.5
63.4 deg, intensity 14.3
65.6 deg, intensity 13.0
66.8 deg, intensity 12.3

Structure:
Cell: 7.670 7.670 5.024 Å, 90.00 90.00 144.50°
Positions (direct):
Y  0.000  0.000  0.000
Tl  0.167  0.833  0.500
Tl  0.332  0.668  0.000
Tl  0.500  0.500  0.500
Tl  0.668  0.332  0.000
Tl  0.833  0.167  0.500

***

Entry 7:
Y8Tl: simulated X-ray diffraction stick pattern (Cu Kα), based on a GGA-PBE-relaxed structure.
Lines closer than 0.1° are merged.

Peak list (10 most intense, 10° ≤ 2θ ≤ 90°, sorted by position)
11.7 deg, intensity 7.0
31.0 deg, intensity 100.0
35.5 deg, intensity 34.3
36.8 deg, intensity 15.7
51.1 deg, intensity 11.8
52.1 deg, intensity 22.6
61.0 deg, intensity 27.4
62.7 deg, intensity 12.8
64.6 deg, intensity 11.5
85.1 deg, intensity 10.7

Structure:
Cell: 7.963 7.963 7.963 Å, 95.39 95.39 144.29°
Positions (direct):
Y  0.000  0.335  0.335
Y  0.000  0.665  0.665
Y  0.335  0.000  0.335
Y  0.339  0.339  0.678
Y  0.339  0.661  0.000
Y  0.661  0.339  0.000
Y  0.661  0.661  0.322
Y  0.665  0.000  0.665
Tl  0.000  0.000  0.000

***

Entry 8:
YTl2: simulated X-ray diffraction stick pattern (Cu Kα), based on a GGA-PBE-relaxed structure.
Lines closer than 0.1° are merged.

Peak list (10 most intense, 10° ≤ 2θ ≤ 90°, sorted by position)
20.3 deg, intensity 13.5
31.3 deg, intensity 100.0
35.5 deg, intensity 71.6
48.1 deg, intensity 30.8
52.9 deg, intensity 25.6
61.2 deg, intensity 30.1
63.8 deg, intensity 13.2
65.4 deg, intensity 13.6
76.6 deg, intensity 17.4
83.7 deg, intensity 12.7

Structure:
Cell: 5.055 5.055 3.768 Å, 90.00 90.00 120.00°
Positions (direct):
Y  0.000  0.000  0.000
Tl  0.333  0.667  0.355
Tl  0.667  0.333  0.645